This entry pairs a crystal structure of Al6NO8 with its theoretical X-ray diffraction stick pattern. Radiation: Cu Kα (weighted mean of Kα1 and Kα2). Structure: the GGA-PBE geometry in Alexandria.

Structural model:
```
data_Al6NO8
_chemical_formula_sum 'Al12 N2 O16'
_cell_length_a 5.3010
_cell_length_b 5.3010
_cell_length_c 11.6626
_cell_angle_alpha 90.00
_cell_angle_beta 90.00
_cell_angle_gamma 120.00
_space_group_name_H-M_alt 'P 63/m c m'
_space_group_IT_number 193
_space_group_name_Hall '-P 6c 2'
loop_
_atom_site_label
_atom_site_fract_x
_atom_site_fract_y
_atom_site_fract_z
Al1 0.0000 0.0000 0.0000
Al2 0.0000 0.3397 0.2500
Al3 0.3333 0.6667 0.0000
N1 0.0000 0.0000 0.2500
O1 0.0000 0.3338 0.0807
O2 0.3333 0.6667 0.2500
```

Principal peaks in the range 2θ from 15° to 90°, low angle first:
- hkl 0 0 4, 2θ 30.66, intensity 51.2
- hkl 1 1 1, 2θ 34.71, intensity 100.0
- hkl 1 1 2, 2θ 37.26, intensity 15.7
- hkl 1 1 4, 2θ 46.29, intensity 36.6
- hkl 0 0 6, 2θ 46.73, intensity 9.8
- hkl 1 1 5, 2θ 52.24, intensity 30.3
- hkl 1 1 6, 2θ 58.92, intensity 25.5
- hkl 3 0 0, 2θ 60.50, intensity 59.4
- hkl 1 1 7, 2θ 66.26, intensity 10.7
- hkl 3 0 4, 2θ 69.35, intensity 27.0

=====

This entry pairs a crystal structure of Al5N3O3 with its theoretical X-ray diffraction stick pattern. Radiation: Cu Kα (weighted mean of Kα1 and Kα2). Structure: the GGA-PBE geometry in Alexandria.

Structural model:
```
data_Al5N3O3
_chemical_formula_sum 'Al5 N3 O3'
_cell_length_a 3.082
_cell_length_b 9.367
_cell_length_c 4.411
_cell_angle_alpha 90.00
_cell_angle_beta 90.00
_cell_angle_gamma 90.00
_space_group_name_H-M_alt 'P m m 2'
_space_group_IT_number 25
loop_
_space_group_symop_operation_xyz
'x,y,z'
'-x,-y,z'
'-x,y,z'
'x,-y,z'
loop_
_atom_site_label
_atom_site_fract_x
_atom_site_fract_y
_atom_site_fract_z
Al1 0.000 0.000 0.000
Al2 0.000 0.335 0.010
Al3 0.500 0.165 0.504
N1 0.000 0.169 0.750
N2 0.500 0.000 0.253
O1 0.000 0.500 0.848
O2 0.500 0.307 0.229
```

Principal peaks in the range 2θ from 15° to 90°, low angle first:
- hkl 0 2 0, 2θ 18.95, intensity 12.5
- hkl 0 0 1, 2θ 20.13, intensity 15.5
- hkl 0 1 1, 2θ 22.28, intensity 21.7
- hkl 0 3 1, 2θ 35.22, intensity 94.3
- hkl 1 0 1, 2θ 35.53, intensity 100.0
- hkl 0 6 0, 2θ 59.18, intensity 15.7
- hkl 1 3 2, 2θ 59.43, intensity 61.8
- hkl 2 0 0, 2θ 60.03, intensity 17.0
- hkl 1 6 1, 2θ 70.99, intensity 31.2
- hkl 2 3 1, 2θ 71.55, intensity 19.9

=====

This entry pairs a crystal structure of AlPb2NO with its theoretical X-ray diffraction stick pattern. Radiation: Cu Kα (weighted mean of Kα1 and Kα2). Structure: the GGA-PBE geometry in Alexandria.

Structural model:
```
data_AlPb2NO
_chemical_formula_sum 'Al1 Pb2 N1 O1'
_cell_length_a 5.492
_cell_length_b 5.492
_cell_length_c 3.597
_cell_angle_alpha 90.00
_cell_angle_beta 90.00
_cell_angle_gamma 90.00
_space_group_name_H-M_alt 'P 4/m m m'
_space_group_IT_number 123
_space_group_name_Hall '-P 4 2'
loop_
_atom_site_label
_atom_site_fract_x
_atom_site_fract_y
_atom_site_fract_z
Al1 0.000 0.000 0.000
Pb1 0.000 0.500 0.000
N1 0.000 0.000 0.500
O1 0.500 0.500 0.500
```

Principal peaks in the range 2θ from 15° to 90°, low angle first:
- hkl 1 1 0, 2θ 22.90, intensity 93.5
- hkl 0 0 1, 2θ 24.75, intensity 52.8
- hkl 2 0 0, 2θ 32.61, intensity 71.3
- hkl 1 1 1, 2θ 33.97, intensity 100.0
- hkl 2 0 1, 2θ 41.37, intensity 57.5
- hkl 2 2 0, 2θ 46.79, intensity 26.1
- hkl 3 1 0, 2θ 52.71, intensity 22.3
- hkl 2 2 1, 2θ 53.64, intensity 27.9
- hkl 3 1 1, 2θ 59.07, intensity 41.0
- hkl 2 0 2, 2θ 61.65, intensity 22.9

=====

This entry pairs a crystal structure of Sc6Al2NO with its theoretical X-ray diffraction stick pattern. Radiation: Cu Kα (weighted mean of Kα1 and Kα2). Structure: the GGA-PBE geometry in Alexandria.

Structural model:
```
data_Sc6Al2NO
_chemical_formula_sum 'Sc24 Al8 N4 O4'
_cell_length_a 8.813
_cell_length_b 8.813
_cell_length_c 8.813
_cell_angle_alpha 90.00
_cell_angle_beta 90.00
_cell_angle_gamma 90.00
_space_group_name_H-M_alt 'F m -3 m'
_space_group_IT_number 225
_space_group_name_Hall '-F 4 2 3'
loop_
_atom_site_label
_atom_site_fract_x
_atom_site_fract_y
_atom_site_fract_z
Sc1 0.000 0.000 0.248
Al1 0.250 0.250 0.250
N1 0.000 0.000 0.000
O1 0.000 0.000 0.500
```

Principal peaks in the range 2θ from 15° to 90°, low angle first:
- hkl 2 0 0, 2θ 20.15, intensity 18.1
- hkl 2 2 2, 2θ 35.28, intensity 100.0
- hkl 4 0 0, 2θ 40.96, intensity 69.3
- hkl 4 2 0, 2θ 46.06, intensity 6.0
- hkl 4 4 0, 2θ 59.32, intensity 41.4
- hkl 6 0 0, 2θ 63.32, intensity 2.2
- hkl 6 2 2, 2θ 70.94, intensity 34.2
- hkl 4 4 4, 2θ 74.61, intensity 13.0
- hkl 6 4 0, 2θ 78.22, intensity 0.8
- hkl 8 0 0, 2θ 88.83, intensity 6.1

=====

This entry pairs a crystal structure of SrAl4Si2N8O with its theoretical X-ray diffraction stick pattern. Radiation: Cu Kα (weighted mean of Kα1 and Kα2). Structure: the GGA-PBE geometry in Alexandria.

Structural model:
```
data_SrAl4Si2N8O
_chemical_formula_sum 'Sr2 Al8 Si4 N16 O2'
_cell_length_a 8.569
_cell_length_b 10.141
_cell_length_c 5.229
_cell_angle_alpha 90.00
_cell_angle_beta 90.00
_cell_angle_gamma 90.00
_space_group_name_H-M_alt 'I m m 2'
_space_group_IT_number 44
loop_
_space_group_symop_operation_xyz
'x,y,z'
'-x,-y,z'
'-x,y,z'
'x,-y,z'
'x+1/2,y+1/2,z+1/2'
'-x+1/2,-y+1/2,z+1/2'
'-x+1/2,y+1/2,z+1/2'
'x+1/2,-y+1/2,z+1/2'
loop_
_atom_site_label
_atom_site_fract_x
_atom_site_fract_y
_atom_site_fract_z
Sr1 0.000 0.000 0.000
Al1 0.188 0.328 0.838
Si1 0.000 0.340 0.340
N1 0.000 0.304 0.662
N2 0.162 0.279 0.181
N3 0.236 0.000 0.299
O1 0.000 0.500 0.292
```

Principal peaks in the range 2θ from 15° to 90°, low angle first:
- hkl 0 1 1, 2θ 19.10, intensity 15.9
- hkl 1 0 1, 2θ 19.89, intensity 14.8
- hkl 1 2 1, 2θ 26.61, intensity 16.2
- hkl 2 2 0, 2θ 27.25, intensity 10.2
- hkl 1 3 0, 2θ 28.35, intensity 100.0
- hkl 0 3 1, 2θ 31.52, intensity 9.5
- hkl 1 1 2, 2θ 37.03, intensity 17.3
- hkl 3 2 1, 2θ 40.13, intensity 19.0
- hkl 3 0 3, 2θ 62.42, intensity 9.5
- hkl 2 3 3, 2θ 63.90, intensity 9.4

=====

This entry pairs a crystal structure of Sm2AlNO3 with its theoretical X-ray diffraction stick pattern. Radiation: Cu Kα (weighted mean of Kα1 and Kα2). Structure: the GGA-PBE geometry in Alexandria.

Structural model:
```
data_Sm2AlNO3
_chemical_formula_sum 'Sm4 Al2 N2 O6'
_cell_length_a 3.698
_cell_length_b 3.698
_cell_length_c 12.452
_cell_angle_alpha 90.00
_cell_angle_beta 90.00
_cell_angle_gamma 90.00
_space_group_name_H-M_alt 'I 4 m m'
_space_group_IT_number 107
_space_group_name_Hall 'I 4 -2'
loop_
_atom_site_label
_atom_site_fract_x
_atom_site_fract_y
_atom_site_fract_z
Sm1 0.000 0.000 0.000
Sm2 0.000 0.000 0.290
Al1 0.000 0.000 0.638
N1 0.000 0.000 0.477
O1 0.000 0.000 0.814
O2 0.000 0.500 0.152
```

Principal peaks in the range 2θ from 15° to 90°, low angle first:
- hkl 1 0 1, 2θ 25.12, intensity 51.3
- hkl 0 0 4, 2θ 28.68, intensity 22.0
- hkl 1 0 3, 2θ 32.43, intensity 100.0
- hkl 1 1 0, 2θ 34.29, intensity 61.6
- hkl 1 1 4, 2θ 45.29, intensity 42.4
- hkl 2 0 0, 2θ 49.28, intensity 30.9
- hkl 1 1 6, 2θ 56.62, intensity 14.6
- hkl 1 0 7, 2θ 57.49, intensity 18.4
- hkl 2 1 3, 2θ 60.24, intensity 35.7
- hkl 2 1 7, 2θ 79.06, intensity 14.8

=====

This entry pairs a crystal structure of Tb6Al2NO with its theoretical X-ray diffraction stick pattern. Radiation: Cu Kα (weighted mean of Kα1 and Kα2). Structure: the GGA-PBE geometry in Alexandria.

Structural model:
```
data_Tb6Al2NO
_chemical_formula_sum 'Tb24 Al8 N4 O4'
_cell_length_a 9.554
_cell_length_b 9.554
_cell_length_c 9.554
_cell_angle_alpha 90.00
_cell_angle_beta 90.00
_cell_angle_gamma 90.00
_space_group_name_H-M_alt 'F m -3 m'
_space_group_IT_number 225
_space_group_name_Hall '-F 4 2 3'
loop_
_atom_site_label
_atom_site_fract_x
_atom_site_fract_y
_atom_site_fract_z
Tb1 0.000 0.000 0.248
Al1 0.250 0.250 0.250
N1 0.000 0.000 0.000
O1 0.000 0.000 0.500
```

Principal peaks in the range 2θ from 15° to 90°, low angle first:
- hkl 2 0 0, 2θ 18.57, intensity 27.0
- hkl 2 2 0, 2θ 26.39, intensity 14.0
- hkl 2 2 2, 2θ 32.46, intensity 100.0
- hkl 4 0 0, 2θ 37.66, intensity 56.7
- hkl 4 2 0, 2θ 42.31, intensity 13.0
- hkl 4 2 2, 2θ 46.57, intensity 6.5
- hkl 4 4 0, 2θ 54.32, intensity 39.1
- hkl 6 2 2, 2θ 64.72, intensity 41.9
- hkl 4 4 4, 2θ 67.98, intensity 13.2
- hkl 6 6 2, 2θ 89.41, intensity 18.2

=====

This entry pairs a crystal structure of ThAlOsN with its theoretical X-ray diffraction stick pattern. Radiation: Cu Kα (weighted mean of Kα1 and Kα2). Structure: the GGA-PBE geometry in Alexandria.

Structural model:
```
data_ThAlOsN
_chemical_formula_sum 'Th2 Al2 Os2 N2'
_cell_length_a 4.068
_cell_length_b 4.068
_cell_length_c 8.283
_cell_angle_alpha 90.00
_cell_angle_beta 90.00
_cell_angle_gamma 90.00
_space_group_name_H-M_alt 'P 4/n m m'
_space_group_IT_number 129
loop_
_space_group_symop_operation_xyz
'x,y,z'
'-x,-y,-z'
'-y+1/2,x,z'
'y+1/2,-x,-z'
'-x+1/2,-y+1/2,z'
'x+1/2,y+1/2,-z'
'y,-x+1/2,z'
'-y,x+1/2,-z'
'x+1/2,-y,-z'
'-x+1/2,y,z'
'-y,-x,-z'
'y,x,z'
'-x,y+1/2,-z'
'x,-y+1/2,z'
'y+1/2,x+1/2,-z'
'-y+1/2,-x+1/2,z'
loop_
_atom_site_label
_atom_site_fract_x
_atom_site_fract_y
_atom_site_fract_z
Th1 0.250 0.250 0.169
Al1 0.250 0.250 0.666
Os1 0.250 0.750 0.500
N1 0.250 0.250 0.893
```

Principal peaks in the range 2θ from 15° to 90°, low angle first:
- hkl 1 0 1, 2θ 24.38, intensity 64.3
- hkl 1 0 2, 2θ 30.81, intensity 55.6
- hkl 0 0 3, 2θ 32.43, intensity 45.9
- hkl 1 1 1, 2θ 32.96, intensity 100.0
- hkl 1 1 2, 2θ 38.09, intensity 78.3
- hkl 2 0 0, 2θ 44.55, intensity 51.9
- hkl 1 1 4, 2θ 54.61, intensity 27.5
- hkl 2 1 2, 2θ 55.14, intensity 23.0
- hkl 2 0 3, 2θ 56.17, intensity 39.7
- hkl 3 1 2, 2θ 77.74, intensity 20.4

=====

This entry pairs a crystal structure of AlSb2PN with its theoretical X-ray diffraction stick pattern. Radiation: Cu Kα (weighted mean of Kα1 and Kα2). Structure: the GGA-PBE geometry in Alexandria.

Structural model:
```
data_AlSb2PN
_chemical_formula_sum 'Al1 Sb2 P1 N1'
_cell_length_a 5.521
_cell_length_b 5.521
_cell_length_c 3.289
_cell_angle_alpha 90.00
_cell_angle_beta 90.00
_cell_angle_gamma 90.00
_space_group_name_H-M_alt 'P 4/m m m'
_space_group_IT_number 123
_space_group_name_Hall '-P 4 2'
loop_
_atom_site_label
_atom_site_fract_x
_atom_site_fract_y
_atom_site_fract_z
Al1 0.000 0.000 0.000
Sb1 0.000 0.500 0.500
P1 0.500 0.500 0.500
N1 0.500 0.500 0.000
```

Principal peaks in the range 2θ from 15° to 90°, low angle first:
- hkl 1 1 0, 2θ 22.78, intensity 68.8
- hkl 0 0 1, 2θ 27.12, intensity 43.3
- hkl 2 0 0, 2θ 32.43, intensity 100.0
- hkl 1 1 1, 2θ 35.70, intensity 99.2
- hkl 2 0 1, 2θ 42.77, intensity 50.7
- hkl 2 2 0, 2θ 46.52, intensity 35.3
- hkl 2 2 1, 2θ 54.68, intensity 24.4
- hkl 3 1 1, 2θ 59.99, intensity 42.2
- hkl 2 0 2, 2θ 66.15, intensity 23.8
- hkl 2 2 2, 2θ 75.62, intensity 16.1